# 1
Computed powder diffraction line list
Compound: Ac2AlTcO6
Radiation: Cu Kα (λ = 1.5418 Å)
Structure: a cell relaxed with GGA-PBE
Peak positions follow from Bragg's law for the DFT cell and can differ from measured ones.

Atomic structure:
```
Ac2AlTcO6
1.0
2.824 1.630 9.290
-2.824 1.630 9.290
0.000 -3.261 9.290
Ac Al Tc O
4 2 2 12
direct
0.128 0.128 0.128
0.288 0.288 0.288
0.712 0.712 0.712
0.872 0.872 0.872
0.000 0.000 0.000
0.500 0.500 0.500
0.411 0.411 0.411
0.589 0.589 0.589
0.132 0.624 0.624
0.196 0.196 0.725
0.196 0.725 0.196
0.275 0.804 0.804
0.376 0.376 0.868
0.376 0.868 0.376
0.624 0.132 0.624
0.624 0.624 0.132
0.725 0.196 0.196
0.804 0.275 0.804
0.804 0.804 0.275
0.868 0.376 0.376
```

Most intense lines, 10° ≤ 2θ ≤ 90°, by angle:
Position (°2θ), Rel. int.
19.2, 14
24.2, 32
28.9, 87
31.7, 100
40.3, 20
43.4, 47
50.9, 15
54.7, 30
56.4, 24
66.2, 18

***

# 2
Computed powder diffraction line list
Compound: AcAlTl2O4
Radiation: Cu Kα (λ = 1.5418 Å)
Structure: a cell relaxed with GGA-PBE
Peak positions follow from Bragg's law for the DFT cell and can differ from measured ones.

Atomic structure:
```
AcAlTl2O4
1.0
7.241 0.000 0.000
0.000 9.165 0.000
0.000 0.000 5.269
Ac Al Tl O
2 2 4 8
direct
0.000 0.088 0.000
0.500 0.912 0.500
0.000 0.856 0.476
0.500 0.144 0.976
0.250 0.329 0.495
0.250 0.671 0.995
0.750 0.329 0.495
0.750 0.671 0.995
0.000 0.053 0.524
0.000 0.836 0.136
0.214 0.787 0.590
0.286 0.213 0.090
0.500 0.164 0.636
0.500 0.947 0.024
0.714 0.213 0.090
0.786 0.787 0.590
```

Most intense lines, 10° ≤ 2θ ≤ 90°, by angle:
Position (°2θ), Rel. int.
19.4, 32
23.0, 31
25.8, 96
26.5, 51
31.5, 100
34.0, 35
38.6, 22
43.6, 26
50.2, 32
57.5, 21